Theoretical powder X-ray diffraction pattern
Compound: Fe4O3F5
Radiation: CuKα
Structure: a DFT-relaxed cell (GGA+U, the Materials Project)

Crystal structure
Cell: 6.190 4.809 4.809 Å, 94.03 90.00 90.00°
Fractional positions:
Fe: 0.000 0.000 0.000
Fe: 0.238 0.499 0.499
Fe: 0.500 0.034 0.034
Fe: 0.762 0.499 0.499
O: 0.000 0.301 0.301
O: 0.000 0.705 0.705
O: 0.500 0.340 0.340
F: 0.242 0.208 0.811
F: 0.242 0.811 0.208
F: 0.500 0.717 0.717
F: 0.758 0.208 0.811
F: 0.758 0.811 0.208

Top 10 peaks for 2θ from 10° to 80°, in order of rising 2θ:
3.518 Å, 25.32°, rel. 99
3.279 Å, 27.20°, rel. 92
2.601 Å, 34.49°, rel. 100
2.324 Å, 38.75°, rel. 18
2.251 Å, 40.06°, rel. 16
1.798 Å, 50.79°, rel. 67
1.759 Å, 51.99°, rel. 21
1.731 Å, 52.91°, rel. 50
1.548 Å, 59.76°, rel. 17
1.421 Å, 65.73°, rel. 41